Structure and theoretical powder diffractogram of LiMg5Sc (a cell relaxed with GGA-PBE; CuKα).

Largest 10 diffraction maxima, by angle, 2θ = 5–70°:
| h k l | 2theta | I_rel |
| --- | --- | --- |
| 1 1 0 | 17.4 | 80 |
| 1 1 2 | 33.0 | 31 |
| 1 3 0 | 33.8 | 14 |
| 0 2 2 | 34.6 | 100 |
| 2 2 0 | 35.3 | 95 |
| 2 0 2 | 40.3 | 65 |
| 0 4 0 | 41.1 | 30 |
| 1 3 2 | 44.3 | 13 |
| 2 4 2 | 58.9 | 39 |
| 2 2 4 | 69.1 | 24 |

Structural model:
```
LiMg5Sc
1.0
6.250 0.000 0.000
0.000 8.777 0.000
0.000 0.000 6.426
Li Mg Sc
2 10 2
Direct
0.000 0.000 0.000
0.500 0.500 0.000
0.000 0.500 0.000
0.250 0.250 0.252
0.250 0.250 0.748
0.250 0.750 0.252
0.250 0.750 0.748
0.500 0.000 0.000
0.750 0.250 0.252
0.750 0.250 0.748
0.750 0.750 0.252
0.750 0.750 0.748
0.000 0.500 0.500
0.500 0.000 0.500
```